Entry 1:
This entry pairs a crystal structure of Tb2HoHg5 with its simulated powder X-ray diffraction pattern. Radiation: Cu Kα (λ = 1.5418 Å). Structure: a structure optimized by DFT (PBE).
Intensities are scaled so that the largest is 100.

The 6 most intense peaks (10 to 80 degrees two-theta), low angle first:
| two_theta | d [Å] | intensity |
| --- | --- | --- |
| 34.5 | 2.597 | 100 |
| 49.6 | 1.839 | 12 |
| 49.8 | 1.831 | 5 |
| 61.8 | 1.500 | 25 |
| 62.0 | 1.497 | 11 |
| 72.9 | 1.297 | 7 |

Atomic structure:
```
Tb2HoHg5
1.0
-2.6009 2.6009 7.3230
2.6009 -2.6009 7.3230
2.6009 2.6009 -7.3230
Tb Ho Hg
2 1 5
direct
0.2356 0.2356 0.0000
0.7644 0.7644 0.0000
0.5000 0.5000 0.0000
0.0000 0.0000 0.0000
0.1231 0.6231 0.5000
0.3769 0.8769 0.5000
0.6231 0.1231 0.5000
0.8769 0.3769 0.5000
```

=====

Entry 2:
This entry pairs a crystal structure of TbHo5Hg4 with its simulated powder X-ray diffraction pattern. Radiation: Cu Kα (λ = 1.5418 Å). Structure: a structure optimized by DFT (PBE).
Intensities are scaled so that the largest is 100.

The 6 most intense peaks (10 to 80 degrees two-theta), low angle first:
| two_theta | d [Å] | intensity |
| --- | --- | --- |
| 33.1 | 2.704 | 100 |
| 34.6 | 2.589 | 54 |
| 36.4 | 2.468 | 14 |
| 49.8 | 1.831 | 19 |
| 58.2 | 1.585 | 11 |
| 61.1 | 1.516 | 35 |

Atomic structure:
```
TbHo5Hg4
1.0
3.6619 0.0000 0.0000
0.0000 3.6619 0.0000
0.0000 0.0000 20.0440
Tb Ho Hg
1 5 4
direct
0.0000 0.0000 0.0000
0.5000 0.5000 0.1228
0.5000 0.5000 0.3123
0.5000 0.5000 0.5000
0.5000 0.5000 0.6877
0.5000 0.5000 0.8772
0.0000 0.0000 0.2156
0.0000 0.0000 0.4054
0.0000 0.0000 0.5946
0.0000 0.0000 0.7844
```

=====

Entry 3:
This entry pairs a crystal structure of Tb2HoTl2Hg2 with its simulated powder X-ray diffraction pattern. Radiation: Cu Kα (λ = 1.5418 Å). Structure: a structure optimized by DFT (PBE).
Intensities are scaled so that the largest is 100.

The 6 most intense peaks (10 to 80 degrees two-theta), low angle first:
| two_theta | d [Å] | intensity |
| --- | --- | --- |
| 31.4 | 2.850 | 100 |
| 36.0 | 2.496 | 81 |
| 48.5 | 1.878 | 30 |
| 52.7 | 1.736 | 15 |
| 61.8 | 1.501 | 30 |
| 64.7 | 1.442 | 17 |

Atomic structure:
```
Tb2HoTl2Hg2
1.0
2.4964 1.4413 8.8436
-2.4964 1.4413 8.8436
0.0000 -2.8826 8.8436
Tb Ho Tl Hg
2 1 2 2
direct
0.1323 0.1323 0.1323
0.8677 0.8677 0.8677
0.0000 0.0000 0.0000
0.2747 0.2747 0.2747
0.7253 0.7253 0.7253
0.4341 0.4341 0.4341
0.5659 0.5659 0.5659
```

=====

Entry 4:
This entry pairs a crystal structure of Ho8Tc2Hg with its simulated powder X-ray diffraction pattern. Radiation: Cu Kα (λ = 1.5418 Å). Structure: a structure optimized by DFT (PBE).
Intensities are scaled so that the largest is 100.

The 6 most intense peaks (10 to 80 degrees two-theta), low angle first:
| two_theta | d [Å] | intensity |
| --- | --- | --- |
| 31.3 | 2.859 | 89 |
| 31.5 | 2.837 | 52 |
| 33.3 | 2.693 | 42 |
| 34.1 | 2.632 | 73 |
| 35.6 | 2.525 | 100 |
| 49.1 | 1.854 | 23 |

Atomic structure:
```
Ho8Tc2Hg
1.0
-2.6320 7.8337 3.4487
2.6320 -7.8337 3.4487
2.6320 7.8337 -3.4487
Ho Tc Hg
8 2 1
direct
0.0000 0.0000 0.0000
0.2494 0.5845 0.6649
0.3325 0.4433 0.8892
0.4065 0.1166 0.2899
0.5541 0.4433 0.1108
0.7208 0.2208 0.5000
0.8267 0.1166 0.7101
0.9195 0.5845 0.3351
0.6493 0.8126 0.8367
0.9759 0.8126 0.1633
0.2967 0.7967 0.5000
```

=====

Entry 5:
This entry pairs a crystal structure of Ho3HgTe2 with its simulated powder X-ray diffraction pattern. Radiation: Cu Kα (λ = 1.5418 Å). Structure: a structure optimized by DFT (PBE).
Intensities are scaled so that the largest is 100.

The 6 most intense peaks (10 to 80 degrees two-theta), low angle first:
| two_theta | d [Å] | intensity |
| --- | --- | --- |
| 29.2 | 3.062 | 100 |
| 40.9 | 2.204 | 13 |
| 41.7 | 2.166 | 51 |
| 51.0 | 1.789 | 14 |
| 52.4 | 1.748 | 13 |
| 68.5 | 1.370 | 23 |

Atomic structure:
```
Ho3HgTe2
1.0
0.0000 6.1282 12.7659
4.4084 0.0000 12.7659
4.4084 6.1282 0.0000
Ho Hg Te
12 4 8
direct
0.0408 0.5393 0.1998
0.1154 0.6346 0.6346
0.1998 0.7201 0.0408
0.2799 0.8002 0.4607
0.3654 0.8846 0.8846
0.4607 0.9592 0.2799
0.5393 0.0408 0.7201
0.6346 0.1154 0.1154
0.7201 0.1998 0.5393
0.8002 0.2799 0.9592
0.8846 0.3654 0.3654
0.9592 0.4607 0.8002
0.0417 0.0417 0.2083
0.2083 0.2083 0.0417
0.7917 0.7917 0.9583
0.9583 0.9583 0.7917
0.1274 0.1274 0.6226
0.2939 0.2939 0.4561
0.3774 0.3774 0.8726
0.4561 0.4561 0.2939
0.5439 0.5439 0.7061
0.6226 0.6226 0.1274
0.7061 0.7061 0.5439
0.8726 0.8726 0.3774
```

=====

Entry 6:
This entry pairs a crystal structure of Ho5TlHg with its simulated powder X-ray diffraction pattern. Radiation: Cu Kα (λ = 1.5418 Å). Structure: a structure optimized by DFT (PBE).
Intensities are scaled so that the largest is 100.

The 6 most intense peaks (10 to 80 degrees two-theta), low angle first:
| two_theta | d [Å] | intensity |
| --- | --- | --- |
| 30.2 | 2.961 | 100 |
| 30.5 | 2.927 | 77 |
| 33.1 | 2.707 | 49 |
| 33.2 | 2.695 | 82 |
| 34.7 | 2.589 | 35 |
| 38.4 | 2.347 | 39 |

Atomic structure:
```
Ho5TlHg
1.0
4.2991 -4.1217 0.0000
4.2991 4.1217 0.0000
-3.0000 0.0000 11.4206
Ho Tl Hg
10 2 2
direct
0.0437 0.9563 0.7500
0.0539 0.4883 0.1394
0.2344 0.5153 0.4484
0.4847 0.7656 0.0516
0.4883 0.0539 0.6394
0.5117 0.9461 0.3606
0.5153 0.2344 0.9484
0.7656 0.4847 0.5516
0.9461 0.5117 0.8606
0.9563 0.0437 0.2500
0.4202 0.5798 0.7500
0.5798 0.4202 0.2500
0.0000 0.0000 0.0000
0.0000 0.0000 0.5000
```

=====

Entry 7:
This entry pairs a crystal structure of Ho4TlHg3 with its simulated powder X-ray diffraction pattern. Radiation: Cu Kα (λ = 1.5418 Å). Structure: a structure optimized by DFT (PBE).
Intensities are scaled so that the largest is 100.

The 6 most intense peaks (10 to 80 degrees two-theta), low angle first:
| two_theta | d [Å] | intensity |
| --- | --- | --- |
| 30.8 | 2.905 | 30 |
| 30.9 | 2.893 | 100 |
| 36.1 | 2.487 | 37 |
| 37.3 | 2.409 | 37 |
| 38.0 | 2.365 | 72 |
| 47.8 | 1.903 | 18 |

Atomic structure:
```
Ho4TlHg3
1.0
3.8070 0.0000 0.0000
0.0000 4.8174 0.0000
0.0000 0.0000 11.6186
Ho Tl Hg
4 1 3
direct
0.0000 0.0000 0.0000
0.0000 0.5000 0.2837
0.5000 0.0000 0.4887
0.5000 0.5000 0.7905
0.0000 0.0000 0.7261
0.0000 0.5000 0.5501
0.5000 0.0000 0.2264
0.5000 0.5000 0.0540
```

=====

Entry 8:
This entry pairs a crystal structure of Ho5TlHg2 with its simulated powder X-ray diffraction pattern. Radiation: Cu Kα (λ = 1.5418 Å). Structure: a structure optimized by DFT (PBE).
Intensities are scaled so that the largest is 100.

The 6 most intense peaks (10 to 80 degrees two-theta), low angle first:
| two_theta | d [Å] | intensity |
| --- | --- | --- |
| 31.8 | 2.811 | 100 |
| 34.4 | 2.611 | 60 |
| 35.1 | 2.554 | 14 |
| 55.0 | 1.668 | 13 |
| 64.3 | 1.448 | 13 |
| 64.5 | 1.445 | 20 |

Atomic structure:
```
Ho5TlHg2
1.0
-4.1278 4.1278 6.5019
4.1278 -4.1278 6.5019
4.1278 4.1278 -6.5019
Ho Tl Hg
10 2 4
direct
0.0000 0.0000 0.0000
0.0037 0.5037 0.8067
0.1970 0.0037 0.5000
0.3030 0.8030 0.8067
0.4963 0.3030 0.5000
0.5000 0.5000 0.0000
0.5037 0.6970 0.5000
0.6970 0.1970 0.1933
0.8030 0.9963 0.5000
0.9963 0.4963 0.1933
0.2500 0.2500 0.0000
0.7500 0.7500 0.0000
0.1402 0.3598 0.5000
0.3598 0.8598 0.2195
0.6402 0.1402 0.7805
0.8598 0.6402 0.5000
```

=====

Entry 9:
This entry pairs a crystal structure of Ho7Tl2Hg with its simulated powder X-ray diffraction pattern. Radiation: Cu Kα (λ = 1.5418 Å). Structure: a structure optimized by DFT (PBE).
Intensities are scaled so that the largest is 100.

The 6 most intense peaks (10 to 80 degrees two-theta), low angle first:
| two_theta | d [Å] | intensity |
| --- | --- | --- |
| 20.8 | 4.273 | 17 |
| 34.2 | 2.620 | 100 |
| 34.5 | 2.600 | 89 |
| 49.4 | 1.845 | 33 |
| 61.3 | 1.513 | 19 |
| 61.5 | 1.509 | 34 |

Atomic structure:
```
Ho7Tl2Hg
1.0
5.2396 0.0000 0.0000
-2.6198 4.5376 0.0000
0.0000 0.0000 12.6894
Ho Tl Hg
7 2 1
direct
0.0000 0.0000 0.0000
0.0000 0.0000 0.2591
0.0000 0.0000 0.7360
0.3333 0.6667 0.4046
0.3333 0.6667 0.8825
0.6667 0.3333 0.1316
0.6667 0.3333 0.5778
0.0000 0.0000 0.4976
0.6667 0.3333 0.8453
0.3333 0.6667 0.1411
```

=====

Entry 10:
This entry pairs a crystal structure of HoTmTlHg with its simulated powder X-ray diffraction pattern. Radiation: Cu Kα (λ = 1.5418 Å). Structure: a structure optimized by DFT (PBE).
Intensities are scaled so that the largest is 100.

The 6 most intense peaks (10 to 80 degrees two-theta), low angle first:
| two_theta | d [Å] | intensity |
| --- | --- | --- |
| 34.0 | 2.639 | 100 |
| 48.8 | 1.867 | 12 |
| 48.9 | 1.863 | 6 |
| 60.8 | 1.523 | 38 |
| 71.4 | 1.320 | 4 |
| 71.6 | 1.319 | 8 |

Atomic structure:
```
HoTmTlHg
1.0
3.7346 0.0000 0.0000
0.0000 3.7346 0.0000
0.0000 0.0000 7.4502
Ho Tm Tl Hg
1 1 1 1
direct
0.0000 0.0000 0.0000
0.0000 0.0000 0.4820
0.5000 0.5000 0.7387
0.5000 0.5000 0.2456
```

=====

Entry 11:
This entry pairs a crystal structure of Ho3Tm2Hg2 with its simulated powder X-ray diffraction pattern. Radiation: Cu Kα (λ = 1.5418 Å). Structure: a structure optimized by DFT (PBE).
Intensities are scaled so that the largest is 100.

The 6 most intense peaks (10 to 80 degrees two-theta), low angle first:
| two_theta | d [Å] | intensity |
| --- | --- | --- |
| 33.0 | 2.712 | 95 |
| 33.9 | 2.648 | 100 |
| 48.0 | 1.895 | 34 |
| 58.5 | 1.578 | 16 |
| 60.0 | 1.541 | 35 |
| 60.6 | 1.529 | 19 |

Atomic structure:
```
Ho3Tm2Hg2
1.0
2.6481 1.5289 7.8465
-2.6481 1.5289 7.8465
0.0000 -3.0577 7.8465
Ho Tm Hg
3 2 2
direct
0.0000 0.0000 0.0000
0.1576 0.1576 0.1576
0.8424 0.8424 0.8424
0.4253 0.4253 0.4253
0.5747 0.5747 0.5747
0.2869 0.2869 0.2869
0.7131 0.7131 0.7131
```

=====

Entry 12:
This entry pairs a crystal structure of Ho5TmHg2 with its simulated powder X-ray diffraction pattern. Radiation: Cu Kα (λ = 1.5418 Å). Structure: a structure optimized by DFT (PBE).
Intensities are scaled so that the largest is 100.

The 6 most intense peaks (10 to 80 degrees two-theta), low angle first:
| two_theta | d [Å] | intensity |
| --- | --- | --- |
| 31.1 | 2.877 | 74 |
| 33.0 | 2.716 | 62 |
| 34.0 | 2.633 | 100 |
| 35.1 | 2.556 | 44 |
| 48.9 | 1.862 | 34 |
| 62.1 | 1.494 | 36 |

Atomic structure:
```
Ho5TmHg2
1.0
-1.8144 5.1125 6.1438
1.8144 -5.1125 6.1438
1.8144 5.1125 -6.1438
Ho Tm Hg
5 1 2
direct
0.0000 0.0000 0.0000
0.0910 0.3645 0.7265
0.3620 0.6355 0.7265
0.6380 0.3645 0.2735
0.9090 0.6355 0.2735
0.5000 0.0000 0.5000
0.2652 0.2652 0.0000
0.7348 0.7348 0.0000
```